(1)
Computed XRD peak list
Compound: KP2AuS7
Radiation: λ = 1.5418 Å (Cu Kα)
Structure: a cell relaxed with PBE
Intensities are scaled so that the largest is 100.

Main lines, by angle (2θ from 10° to 90°):
2θ (°), I_rel
11.60, 30
15.59, 29
15.77, 100
18.78, 32
22.13, 26
22.97, 44
30.11, 38
35.53, 28

Cell: 6.1757 6.1757 15.2632 Å, 90.78 90.78 99.85°
Positions (direct):
K  0.2475  0.7525  0.7500
K  0.7525  0.2475  0.2500
P  0.3186  0.6546  0.1407
P  0.3454  0.6814  0.3593
P  0.6546  0.3186  0.6407
P  0.6814  0.3454  0.8593
Au  0.0000  0.5000  0.5000
Au  0.5000  0.0000  0.0000
S  0.1619  0.7735  0.0356
S  0.1881  0.8119  0.2500
S  0.1945  0.3608  0.3841
S  0.2265  0.8381  0.4644
S  0.2741  0.3355  0.1576
S  0.3355  0.2741  0.6576
S  0.3608  0.1945  0.8841
S  0.6392  0.8055  0.1159
S  0.6645  0.7259  0.3424
S  0.7259  0.6645  0.8424
S  0.7735  0.1619  0.5356
S  0.8055  0.6392  0.6159
S  0.8119  0.1881  0.7500
S  0.8381  0.2265  0.9644


(2)
Computed XRD peak list
Compound: KRbPbAu
Radiation: λ = 1.5418 Å (Cu Kα)
Structure: a cell relaxed with PBE
Intensities are scaled so that the largest is 100.

Main lines, by angle (2θ from 10° to 90°):
2θ (°), I_rel
11.33, 100
24.96, 27
27.62, 20
34.44, 37
34.80, 14
36.25, 18
36.72, 17
49.77, 16

Cell: 15.9492 5.1566 9.0549 Å, 90.00 101.60 90.00°
Positions (direct):
K  0.1222  0.0000  0.2319
K  0.3778  0.5000  0.7681
K  0.6222  0.5000  0.2319
K  0.8778  0.0000  0.7681
Rb  0.1122  0.5000  0.6727
Rb  0.3878  0.0000  0.3273
Rb  0.6122  0.0000  0.6727
Rb  0.8878  0.5000  0.3273
Pb  0.2496  0.0000  0.9047
Pb  0.2504  0.5000  0.0953
Pb  0.7504  0.0000  0.0953
Pb  0.7496  0.5000  0.9047
Au  0.2504  0.0000  0.5777
Au  0.2496  0.5000  0.4223
Au  0.7496  0.0000  0.4223
Au  0.7504  0.5000  0.5777


(3)
Computed XRD peak list
Compound: KRbPbAu
Radiation: λ = 1.5418 Å (Cu Kα)
Structure: a cell relaxed with PBE
Intensities are scaled so that the largest is 100.

Main lines, by angle (2θ from 10° to 90°):
2θ (°), I_rel
13.18, 91
22.54, 100
29.24, 70
30.13, 55
30.79, 66
36.75, 64
37.23, 62
38.50, 71

Cell: 4.9917 19.3124 9.3510 Å, 90.00 90.00 90.00°
Positions (direct):
K  0.0000  0.1105  0.0000
K  0.0000  0.8895  0.0000
K  0.5000  0.3895  0.0000
K  0.5000  0.6105  0.0000
Rb  0.0000  0.3605  0.5733
Rb  0.0000  0.6395  0.5733
Rb  0.5000  0.1395  0.5733
Rb  0.5000  0.8605  0.5733
Pb  0.0000  0.2998  0.2023
Pb  0.0000  0.7002  0.2023
Pb  0.5000  0.2002  0.2023
Pb  0.5000  0.7998  0.2023
Au  0.0000  0.2827  0.8973
Au  0.0000  0.7173  0.8973
Au  0.5000  0.2173  0.8973
Au  0.5000  0.7827  0.8973


(4)
Computed XRD peak list
Compound: KTe3PbAu
Radiation: λ = 1.5418 Å (Cu Kα)
Structure: a cell relaxed with PBE
Intensities are scaled so that the largest is 100.

Main lines, by angle (2θ from 10° to 90°):
2θ (°), I_rel
12.79, 83
27.61, 100
28.55, 71
28.70, 78
31.20, 66
39.84, 48
41.77, 47
59.07, 44

Cell: 7.2793 7.2793 12.4415 Å, 90.00 90.00 143.78°
Positions (direct):
K  0.2368  0.7632  0.7500
K  0.7632  0.2368  0.2500
Te  0.1614  0.8386  0.0437
Te  0.1614  0.8386  0.4563
Te  0.4618  0.5382  0.2500
Te  0.5382  0.4618  0.7500
Te  0.8386  0.1614  0.5437
Te  0.8386  0.1614  0.9563
Pb  0.5000  0.5000  0.0000
Pb  0.5000  0.5000  0.5000
Au  0.0735  0.9265  0.2500
Au  0.9265  0.0735  0.7500


(5)
Computed XRD peak list
Compound: KTe2PtAuS
Radiation: λ = 1.5418 Å (Cu Kα)
Structure: a cell relaxed with PBE
Intensities are scaled so that the largest is 100.

Main lines, by angle (2θ from 10° to 90°):
2θ (°), I_rel
13.64, 75
15.60, 43
29.49, 53
30.46, 100
33.28, 46
40.74, 32
42.64, 28
42.90, 31

Cell: 6.8295 6.8295 11.7411 Å, 90.00 90.00 143.83°
Positions (direct):
K  0.2137  0.7863  0.7500
K  0.7863  0.2137  0.2500
Te  0.1278  0.8722  0.0262
Te  0.1278  0.8722  0.4738
Te  0.8722  0.1278  0.5262
Te  0.8722  0.1278  0.9738
Pt  0.5000  0.5000  0.0000
Pt  0.5000  0.5000  0.5000
Au  0.0788  0.9212  0.2500
Au  0.9212  0.0788  0.7500
S  0.4853  0.5147  0.2500
S  0.5147  0.4853  0.7500


(6)
Computed XRD peak list
Compound: K2RbAu
Radiation: λ = 1.5418 Å (Cu Kα)
Structure: a cell relaxed with PBE
Intensities are scaled so that the largest is 100.

Main lines, by angle (2θ from 10° to 90°):
2θ (°), I_rel
10.14, 100
12.06, 30
21.06, 13
29.13, 15
29.40, 13
31.17, 29
36.02, 28
43.05, 12

Cell: 4.8982 27.1169 8.7271 Å, 90.00 90.00 90.00°
Positions (direct):
K  0.0000  0.1877  0.2488
K  0.0000  0.1877  0.7512
K  0.0000  0.8123  0.2488
K  0.0000  0.8123  0.7512
K  0.5000  0.3123  0.2488
K  0.5000  0.3123  0.7512
K  0.5000  0.6877  0.2488
K  0.5000  0.6877  0.7512
Rb  0.0000  0.4194  0.5000
Rb  0.0000  0.5806  0.5000
Rb  0.5000  0.0806  0.5000
Rb  0.5000  0.9194  0.5000
Au  0.0000  0.2817  0.5000
Au  0.0000  0.7183  0.5000
Au  0.5000  0.2183  0.5000
Au  0.5000  0.7817  0.5000


(7)
Computed XRD peak list
Compound: KRb2Au7
Radiation: λ = 1.5418 Å (Cu Kα)
Structure: a cell relaxed with PBE
Intensities are scaled so that the largest is 100.

Main lines, by angle (2θ from 10° to 90°):
2θ (°), I_rel
11.92, 26
17.01, 100
17.70, 33
27.98, 38
35.07, 26
35.85, 41
48.92, 37
57.82, 26

Cell: 7.3527 7.3527 7.4244 Å, 90.00 90.00 134.84°
Positions (direct):
K  0.0000  0.0000  0.0000
Rb  0.1616  0.8384  0.5000
Rb  0.8384  0.1616  0.5000
Au  0.0000  0.5000  0.0000
Au  0.3934  0.6066  0.1946
Au  0.3934  0.6066  0.8054
Au  0.5000  0.0000  0.0000
Au  0.5000  0.5000  0.5000
Au  0.6066  0.3934  0.1946
Au  0.6066  0.3934  0.8054


(8)
Computed XRD peak list
Compound: K2RbSb2Au3
Radiation: λ = 1.5418 Å (Cu Kα)
Structure: a cell relaxed with PBE
Intensities are scaled so that the largest is 100.

Main lines, by angle (2θ from 10° to 90°):
2θ (°), I_rel
12.15, 100
17.89, 55
30.41, 31
32.44, 47
33.23, 30
36.23, 80
37.32, 34
46.59, 37

Cell: 8.1757 8.1757 8.1757 Å, 46.27 46.27 46.27°
Positions (direct):
K  0.0806  0.0806  0.0806
K  0.9194  0.9194  0.9194
Rb  0.5000  0.5000  0.5000
Sb  0.2435  0.2435  0.2435
Sb  0.7565  0.7565  0.7565
Au  0.0000  0.5000  0.5000
Au  0.5000  0.0000  0.5000
Au  0.5000  0.5000  0.0000


(9)
Computed XRD peak list
Compound: K2Rb3Sb2Au
Radiation: λ = 1.5418 Å (Cu Kα)
Structure: a cell relaxed with PBE
Intensities are scaled so that the largest is 100.

Main lines, by angle (2θ from 10° to 90°):
2θ (°), I_rel
16.93, 27
17.72, 42
27.07, 16
29.05, 100
29.57, 25
34.91, 19
37.71, 18
51.50, 20

Cell: 10.4082 10.4082 10.4082 Å, 34.35 34.35 34.35°
Positions (direct):
K  0.2166  0.2166  0.2166
K  0.7834  0.7834  0.7834
Rb  0.3654  0.3654  0.3654
Rb  0.5000  0.5000  0.5000
Rb  0.6346  0.6346  0.6346
Sb  0.0916  0.0916  0.0916
Sb  0.9084  0.9084  0.9084
Au  0.0000  0.0000  0.0000


(10)
Computed XRD peak list
Compound: K2Au2SeS
Radiation: λ = 1.5418 Å (Cu Kα)
Structure: a cell relaxed with PBE
Intensities are scaled so that the largest is 100.

Main lines, by angle (2θ from 10° to 90°):
2θ (°), I_rel
17.54, 100
22.10, 18
27.44, 45
31.09, 67
33.96, 37
36.24, 18
44.20, 35
44.81, 24

Cell: 6.9963 6.4999 8.0443 Å, 90.00 90.00 90.00°
Positions (direct):
K  0.0000  0.0000  0.0000
K  0.0000  0.5000  0.5000
K  0.5000  0.0000  0.2600
K  0.5000  0.5000  0.7600
Au  0.2567  0.0000  0.6347
Au  0.2567  0.5000  0.1347
Au  0.7433  0.0000  0.6347
Au  0.7433  0.5000  0.1347
Se  0.0000  0.0000  0.4255
Se  0.0000  0.5000  0.9255
S  0.5000  0.0000  0.8337
S  0.5000  0.5000  0.3337


(11)
Computed XRD peak list
Compound: KSnAu3S4
Radiation: λ = 1.5418 Å (Cu Kα)
Structure: a cell relaxed with PBE
Intensities are scaled so that the largest is 100.

Main lines, by angle (2θ from 10° to 90°):
2θ (°), I_rel
14.42, 100
14.62, 39
25.09, 34
29.84, 20
31.23, 25
34.64, 24
43.33, 23
44.25, 17

Cell: 6.1397 7.5329 10.7604 Å, 90.00 99.21 90.00°
Positions (direct):
K  0.1718  0.2500  0.3570
K  0.8282  0.7500  0.6430
Sn  0.0941  0.2500  0.7769
Sn  0.9059  0.7500  0.2231
Au  0.3651  0.5554  0.0950
Au  0.3651  0.9446  0.0950
Au  0.4737  0.7500  0.3428
Au  0.5263  0.2500  0.6572
Au  0.6349  0.0554  0.9050
Au  0.6349  0.4446  0.9050
S  0.0603  0.7500  0.0206
S  0.1429  0.7500  0.4256
S  0.3167  0.5191  0.7603
S  0.3167  0.9809  0.7603
S  0.6833  0.0191  0.2397
S  0.6833  0.4809  0.2397
S  0.8571  0.2500  0.5744
S  0.9397  0.2500  0.9794


(12)
Computed XRD peak list
Compound: KZrTe2AuS
Radiation: λ = 1.5418 Å (Cu Kα)
Structure: a cell relaxed with PBE
Intensities are scaled so that the largest is 100.

Main lines, by angle (2θ from 10° to 90°):
2θ (°), I_rel
11.15, 94
14.04, 33
22.42, 42
28.30, 44
28.88, 48
32.57, 100
34.49, 40
44.23, 25

Cell: 8.1931 8.1931 10.4029 Å, 90.00 90.00 151.05°
Positions (direct):
K  0.2461  0.7539  0.7500
K  0.7539  0.2461  0.2500
Zr  0.5000  0.5000  0.0000
Zr  0.5000  0.5000  0.5000
Te  0.1339  0.8661  0.0305
Te  0.1339  0.8661  0.4695
Te  0.8661  0.1339  0.5305
Te  0.8661  0.1339  0.9695
Au  0.0418  0.9582  0.2500
Au  0.9582  0.0418  0.7500
S  0.4471  0.5529  0.2500
S  0.5529  0.4471  0.7500


(13)
Computed XRD peak list
Compound: KZrAu3S4
Radiation: λ = 1.5418 Å (Cu Kα)
Structure: a cell relaxed with PBE
Intensities are scaled so that the largest is 100.

Main lines, by angle (2θ from 10° to 90°):
2θ (°), I_rel
14.73, 100
24.90, 42
27.80, 48
29.16, 31
29.71, 49
37.39, 36
41.84, 34
42.38, 40

Cell: 6.1261 7.7020 10.0471 Å, 90.00 106.62 90.00°
Positions (direct):
K  0.2151  0.2500  0.3770
K  0.7849  0.7500  0.6230
Zr  0.1286  0.2500  0.7982
Zr  0.8714  0.7500  0.2018
Au  0.2896  0.5597  0.0133
Au  0.2896  0.9403  0.0133
Au  0.4177  0.7500  0.2756
Au  0.5823  0.2500  0.7244
Au  0.7104  0.0597  0.9867
Au  0.7104  0.4403  0.9867
S  0.0686  0.2500  0.0365
S  0.1733  0.7500  0.4206
S  0.3461  0.5080  0.7663
S  0.3461  0.9920  0.7663
S  0.6539  0.0080  0.2337
S  0.6539  0.4920  0.2337
S  0.8267  0.2500  0.5794
S  0.9314  0.7500  0.9635